Diffraction record for Nb5B2H2. The powder diffraction line list is simulated, not measured: it uses DFT lattice parameters and positions (GGA-PBE) and CuKα.
Intensities are scaled so that the largest is 100.

Crystal structure
```
data_Nb5B2H2
_chemical_formula_sum 'Nb10 B4 H4'
_space_group_name_H-M_alt 'P 1 21/c 1'
_space_group_IT_number 14
_cell_length_a 5.945
_cell_length_b 6.198
_cell_length_c 6.222
_cell_angle_alpha 90.00
_cell_angle_beta 107.72
_cell_angle_gamma 90.00
loop_
_space_group_symop_operation_xyz
'x,y,z'
'-x,-y,-z'
'-x,y+1/2,-z+1/2'
'x,-y+1/2,z+1/2'
loop_
_atom_site_label
_atom_site_type_symbol
_atom_site_fract_x
_atom_site_fract_y
_atom_site_fract_z
Nb1 Nb 0.000 0.000 0.000
Nb2 Nb 0.276 0.169 0.397
Nb3 Nb 0.294 0.665 0.267
B1 B 0.004 0.612 0.898
H1 H 0.494 0.555 0.821
```

Largest 10 diffraction maxima, sorted by position, 2θ from 10° to 90°:
| Position (°2θ) | d [Å] | I/Imax | (hkl) |
| --- | --- | --- | --- |
| 28.77 | 3.103 | 43 | 1 1 1 |
| 31.60 | 2.831 | 40 | 2 0 0 |
| 32.61 | 2.746 | 90 | 0 2 1 |
| 32.91 | 2.722 | 67 | 1 1 -2 |
| 33.89 | 2.645 | 40 | 2 1 -1 |
| 36.62 | 2.454 | 42 | 2 0 -2 |
| 38.35 | 2.347 | 100 | 1 0 2 |
| 39.50 | 2.282 | 44 | 2 1 -2 |
| 42.50 | 2.127 | 58 | 2 2 -1 |
| 43.28 | 2.090 | 47 | 2 2 0 |